For AcMnTl2O4, a DFT-relaxed cell (PBE+U, Alexandria) gives the theoretical powder XRD pattern in this record (Cu Kα (λ = 1.5418 Å)).

The 6 most intense peaks (2θ from 5° to 70°), in order of rising 2θ:
2theta  Rel. int.  (hkl)
25.53  87  2 1 0
26.32  100  0 2 1
32.64  56  2 1 1
40.95  26  2 3 1
48.60  31  2 1 2
56.69  25  4 2 1

Crystal structure
a = 7.4009 Å, b = 10.4686 Å, c = 4.4413 Å
α = 90.00°, β = 90.00°, γ = 90.00°
Fractional positions:
Ac (0.0000, 0.0727, 0.0000)
Ac (0.5000, 0.9273, 0.5000)
Mn (0.0000, 0.8069, 0.5021)
Mn (0.5000, 0.1931, 0.0021)
Tl (0.2426, 0.3543, 0.5009)
Tl (0.2574, 0.6457, 0.0009)
Tl (0.7426, 0.6457, 0.0009)
Tl (0.7574, 0.3543, 0.5009)
O (0.0000, 0.7942, 0.9991)
O (0.0000, 0.9984, 0.4998)
O (0.2452, 0.2259, 0.0007)
O (0.2548, 0.7741, 0.5007)
O (0.5000, 0.0016, 0.9998)
O (0.5000, 0.2058, 0.4991)
O (0.7452, 0.7741, 0.5007)
O (0.7548, 0.2259, 0.0007)